1.
This entry pairs a crystal structure of Cs2CdBi2S5 with its calculated powder diffractogram. Radiation: Cu Kα (weighted mean of Kα1 and Kα2). Structure: DFT lattice parameters and positions (GGA-PBE).
Intensities are scaled so that the largest is 100.

Principal peaks in the range 10 to 90 degrees two-theta, most intense first:
| h k l | two_theta | I (rel.) |
| --- | --- | --- |
| 3 1 2 | 28.51 | 100.0 |
| 2 0 0 | 10.99 | 79.3 |
| 1 1 3 | 26.03 | 72.2 |
| 2 0 4 | 21.91 | 47.5 |
| 4 0 0 | 22.09 | 46.7 |
| 3 1 3 | 30.47 | 38.8 |

Atomic structure:
```
data_Cs2CdBi2S5
_chemical_formula_sum 'Cs8 Cd4 Bi8 S20'
_cell_length_a 16.094
_cell_length_b 4.228
_cell_length_c 18.781
_cell_angle_alpha 90.00
_cell_angle_beta 90.00
_cell_angle_gamma 90.00
_symmetry_space_group_name_H-M 'P n m a'
_symmetry_Int_Tables_number 62
loop_
_symmetry_equiv_pos_as_xyz
'x,y,z'
'-x,-y,-z'
'-x+1/2,-y,z+1/2'
'x+1/2,y,-z+1/2'
'x+1/2,-y+1/2,-z+1/2'
'-x+1/2,y+1/2,z+1/2'
'-x,y+1/2,-z'
'x,-y+1/2,z'
loop_
_atom_site_label
_atom_site_type_symbol
_atom_site_fract_x
_atom_site_fract_y
_atom_site_fract_z
Cs1 Cs 0.006 0.250 0.126
Cs2 Cs 0.033 0.750 0.386
Cd1 Cd 0.213 0.250 0.856
Bi1 Bi 0.210 0.750 0.697
Bi2 Bi 0.246 0.750 0.020
S1 S 0.108 0.250 0.750
S2 S 0.139 0.250 0.976
S3 S 0.139 0.750 0.563
S4 S 0.182 0.750 0.147
S5 S 0.199 0.250 0.337
```

2.
This entry pairs a crystal structure of Sc7ZnS5 with its calculated powder diffractogram. Radiation: Cu Kα (weighted mean of Kα1 and Kα2). Structure: DFT lattice parameters and positions (GGA-PBE).
Intensities are scaled so that the largest is 100.

Principal peaks in the range 10 to 90 degrees two-theta, most intense first:
| h k l | two_theta | I (rel.) |
| --- | --- | --- |
| 1 3 2 | 33.98 | 100.0 |
| 1 3 3 | 35.23 | 68.8 |
| 0 2 7 | 32.17 | 63.9 |
| 0 6 5 | 49.60 | 45.3 |
| 2 0 0 | 49.70 | 30.1 |
| 1 1 9 | 45.32 | 29.0 |

Atomic structure:
```
data_Sc7ZnS5
_chemical_formula_sum 'Sc28 Zn4 S20'
_cell_length_a 3.669
_cell_length_b 12.141
_cell_length_c 21.917
_cell_angle_alpha 90.00
_cell_angle_beta 90.00
_cell_angle_gamma 90.00
_symmetry_space_group_name_H-M 'C m c m'
_symmetry_Int_Tables_number 63
_symmetry_space_group_name_Hall '-C 2c 2'
loop_
_atom_site_label
_atom_site_type_symbol
_atom_site_fract_x
_atom_site_fract_y
_atom_site_fract_z
Sc1 Sc 0.000 0.024 0.250
Sc2 Sc 0.000 0.138 0.536
Sc3 Sc 0.000 0.319 0.176
Sc4 Sc 0.000 0.410 0.610
Zn1 Zn 0.000 0.302 0.750
S1 S 0.000 0.048 0.642
S2 S 0.000 0.225 0.072
S3 S 0.000 0.500 0.000
```

3.
This entry pairs a crystal structure of YHfW4 with its calculated powder diffractogram. Radiation: Cu Kα (weighted mean of Kα1 and Kα2). Structure: DFT lattice parameters and positions (GGA-PBE).
Intensities are scaled so that the largest is 100.

Principal peaks in the range 10 to 90 degrees two-theta, most intense first:
| h k l | two_theta | I (rel.) |
| --- | --- | --- |
| 3 1 1 | 38.63 | 100.0 |
| 2 2 2 | 40.42 | 51.1 |
| 5 1 1 | 62.43 | 33.0 |
| 4 4 0 | 68.69 | 29.8 |
| 6 2 2 | 82.84 | 19.9 |
| 1 1 1 | 19.89 | 19.0 |

Atomic structure:
```
data_YHfW4
_chemical_formula_sum 'Y4 Hf4 W16'
_cell_length_a 7.730
_cell_length_b 7.730
_cell_length_c 7.730
_cell_angle_alpha 90.00
_cell_angle_beta 90.00
_cell_angle_gamma 90.00
_symmetry_space_group_name_H-M 'F -4 3 m'
_symmetry_Int_Tables_number 216
_symmetry_space_group_name_Hall 'F -4 2 3'
loop_
_atom_site_label
_atom_site_type_symbol
_atom_site_fract_x
_atom_site_fract_y
_atom_site_fract_z
Y1 Y 0.000 0.000 0.000
Hf1 Hf 0.250 0.250 0.750
W1 W 0.125 0.125 0.375
```

Copy entry 2 word for word.
This entry pairs a crystal structure of Sc7ZnS5 with its calculated powder diffractogram. Radiation: Cu Kα (weighted mean of Kα1 and Kα2). Structure: DFT lattice parameters and positions (GGA-PBE).
Intensities are scaled so that the largest is 100.

Principal peaks in the range 10 to 90 degrees two-theta, most intense first:
| h k l | two_theta | I (rel.) |
| --- | --- | --- |
| 1 3 2 | 33.98 | 100.0 |
| 1 3 3 | 35.23 | 68.8 |
| 0 2 7 | 32.17 | 63.9 |
| 0 6 5 | 49.60 | 45.3 |
| 2 0 0 | 49.70 | 30.1 |
| 1 1 9 | 45.32 | 29.0 |

Atomic structure:
```
data_Sc7ZnS5
_chemical_formula_sum 'Sc28 Zn4 S20'
_cell_length_a 3.669
_cell_length_b 12.141
_cell_length_c 21.917
_cell_angle_alpha 90.00
_cell_angle_beta 90.00
_cell_angle_gamma 90.00
_symmetry_space_group_name_H-M 'C m c m'
_symmetry_Int_Tables_number 63
_symmetry_space_group_name_Hall '-C 2c 2'
loop_
_atom_site_label
_atom_site_type_symbol
_atom_site_fract_x
_atom_site_fract_y
_atom_site_fract_z
Sc1 Sc 0.000 0.024 0.250
Sc2 Sc 0.000 0.138 0.536
Sc3 Sc 0.000 0.319 0.176
Sc4 Sc 0.000 0.410 0.610
Zn1 Zn 0.000 0.302 0.750
S1 S 0.000 0.048 0.642
S2 S 0.000 0.225 0.072
S3 S 0.000 0.500 0.000
```